This entry pairs a crystal structure of DyAlPt3 with its computed X-ray powder pattern. Radiation: λ = 1.5418 Å (Cu Kα). Structure: a crystal structure in Alexandria, relaxed with GGA-PBE.

Structure:
```
data_DyAlPt3
_chemical_formula_sum 'Dy2 Al2 Pt6'
_symmetry_space_group_name_H-M 'P b a m'
_symmetry_Int_Tables_number 55
_cell_length_a 6.0491
_cell_length_b 6.4544
_cell_length_c 5.1006
_cell_angle_alpha 90.00
_cell_angle_beta 90.00
_cell_angle_gamma 90.00
loop_
_symmetry_equiv_pos_as_xyz
'x,y,z'
'-x,-y,-z'
'-x,-y,z'
'x,y,-z'
'x+1/2,-y+1/2,-z'
'-x+1/2,y+1/2,z'
'-x+1/2,y+1/2,-z'
'x+1/2,-y+1/2,z'
loop_
_atom_site_label
_atom_site_type_symbol
_atom_site_fract_x
_atom_site_fract_y
_atom_site_fract_z
Dy1 Dy 0.0000 0.0000 0.0000
Al1 Al 0.0000 0.5000 0.5000
Pt1 Pt 0.0000 0.5000 0.0000
Pt2 Pt 0.1429 0.1569 0.5000
```

Peak list (6 most intense, 2θ from 10° to 90°, low angle first)
2θ = 32.84°, I 92.9, (0 2 1)
2θ = 34.47°, I 61.1, (2 0 1)
2θ = 35.19°, I 100.0, (0 0 2)
2θ = 36.13°, I 48.9, (1 2 1)
2θ = 37.26°, I 57.3, (2 1 1)
2θ = 44.73°, I 45.6, (1 3 0)